No. 1
# SrTm2Ag2Pb2
Simulated powder XRD pattern, CuKα. Input: the PBE geometry in Alexandria.
Lines closer than 0.1° are merged.

Peak list (12 most intense, 2θ = 10–90°, in order of rising 2θ)
d [Å]	I_rel
3.649	12
2.910	68
2.696	34
2.478	100
2.328	39
1.887	20
1.697	15
1.501	18
1.481	14
1.431	18
1.400	16
1.239	11

```
SrTm2Ag2Pb2
1.0
2.4781 1.4307 9.2378
-2.4781 1.4307 9.2378
0.0000 -2.8615 9.2378
Sr Tm Ag Pb
1 2 2 2
direct
0.0000 0.0000 0.0000 Sr
0.1368 0.1368 0.1368 Tm
0.8632 0.8632 0.8632 Tm
0.4473 0.4473 0.4473 Ag
0.5527 0.5527 0.5527 Ag
0.2578 0.2578 0.2578 Pb
0.7422 0.7422 0.7422 Pb
```

***

No. 2
# Pr5Te4Ru
Simulated powder XRD pattern, CuKα. Input: the PBE geometry in Alexandria.
Lines closer than 0.1° are merged.

Peak list (12 most intense, 2θ = 10–90°, in order of rising 2θ)
d [Å]	I_rel
3.217	58
3.174	100
2.555	12
2.259	78
2.245	33
1.841	36
1.587	9
1.435	18
1.423	12
1.420	9
1.307	15
1.299	14

```
Pr5Te4Ru
1.0
-5.0192 5.0192 3.2166
5.0192 -5.0192 3.2166
5.0192 5.0192 -3.2166
Pr Te Ru
5 4 1
direct
0.0000 0.0000 0.0000 Pr
0.2395 0.5913 0.8308 Pr
0.4087 0.2395 0.6481 Pr
0.5913 0.7605 0.3519 Pr
0.7605 0.4087 0.1692 Pr
0.0900 0.3078 0.3979 Te
0.3078 0.9100 0.2178 Te
0.6922 0.0900 0.7822 Te
0.9100 0.6922 0.6021 Te
0.5000 0.5000 0.0000 Ru
```

***

No. 3
# BaLa2Mg
Simulated powder XRD pattern, CuKα. Input: the PBE geometry in Alexandria.
Lines closer than 0.1° are merged.

Peak list (12 most intense, 2θ = 10–90°, in order of rising 2θ)
d [Å]	I_rel
3.823	14
3.466	28
3.168	23
3.032	29
2.958	100
2.190	16
2.142	12
1.786	10
1.750	13
1.736	37
1.672	10
1.479	9

```
BaLa2Mg
1.0
-2.0050 3.0322 6.3351
2.0050 -3.0322 6.3351
2.0050 3.0322 -6.3351
Ba La Mg
1 2 1
direct
0.0000 0.0000 0.0000 Ba
0.2796 0.7796 0.5000 La
0.7204 0.2204 0.5000 La
0.5000 0.5000 0.0000 Mg
```

***

No. 4
# LaHgSe
Simulated powder XRD pattern, CuKα. Input: the PBE geometry in Alexandria.
Lines closer than 0.1° are merged.

Peak list (12 most intense, 2θ = 10–90°, in order of rising 2θ)
d [Å]	I_rel
2.982	100
2.961	53
2.772	27
2.657	36
2.449	15
2.376	51
2.177	28
2.115	26
1.903	22
1.875	14
1.754	23
1.517	16

```
LaHgSe
1.0
4.2887 0.0000 0.0000
0.0000 4.3546 0.0000
-1.4998 0.0000 8.8837
La Hg Se
2 2 2
direct
0.1829 0.2500 0.3075 La
0.8171 0.7500 0.6925 La
0.2781 0.7500 0.0250 Hg
0.7219 0.2500 0.9750 Hg
0.3010 0.2500 0.6490 Se
0.6990 0.7500 0.3510 Se
```